The following is a computed PXRD pattern of CuPbSO6. It was derived from a DFT-relaxed cell (GGA-PBE, the Materials Project), using Cu Kα (weighted mean of Kα1 and Kα2).
No peak broadening, texture or thermal motion is included.

Largest 8 diffraction maxima, sorted by position, 2θ from 15° to 90°:
| d [Å] | Position (°2θ) | intensity | (hkl) |
| --- | --- | --- | --- |
| 5.202 | 17.0 | 43.7 | 0 1 1 |
| 4.297 | 20.7 | 100.0 | 1 0 -1 |
| 3.838 | 23.2 | 30.4 | 0 1 2 |
| 3.601 | 24.7 | 34.7 | 1 1 0 |
| 3.280 | 27.2 | 53.3 | 0 0 3 |
| 3.084 | 28.9 | 54.8 | 1 0 2 |
| 2.581 | 34.8 | 31.2 | 1 1 -3 |
| 1.926 | 47.2 | 28.5 | 1 2 3 |

Crystal structure
Cell lengths 4.4982, 6.1290, 9.9466 Å; angles 90.00, 98.40, 90.00 degrees
Fractional coordinates of all 18 atoms:
1 Cu 0.0000 0.0000 0.0000
2 Cu 0.0000 0.5000 0.0000
3 Pb 0.3517 0.2500 0.3513
4 Pb 0.6483 0.7500 0.6487
5 S 0.4826 0.2500 0.6879
6 S 0.5174 0.7500 0.3121
7 O 0.0797 0.7500 0.8928
8 O 0.2359 0.2500 0.0699
9 O 0.2900 0.0489 0.6725
10 O 0.2900 0.4511 0.6725
11 O 0.3143 0.7500 0.1825
12 O 0.3344 0.7500 0.4289
13 O 0.6656 0.2500 0.5711
14 O 0.6857 0.2500 0.8175
15 O 0.7100 0.5489 0.3275
16 O 0.7100 0.9511 0.3275
17 O 0.7641 0.7500 0.9301
18 O 0.9203 0.2500 0.1072